1.
# Pr4Ge3S12
Calculated XRD peak list, CuKα. Input: a crystal structure in the Materials Project, relaxed with GGA-PBE.
Peak positions follow from Bragg's law for the DFT cell and can differ from measured ones.

Principal peaks in the range 2θ from 10° to 80°, in order of rising 2θ:
- d 5.018, I 24
- d 3.697, I 100
- d 3.502, I 20
- d 3.416, I 43
- d 2.801, I 41
- d 2.596, I 50
- d 2.509, I 20
- d 2.461, I 23
- d 2.445, I 27
- d 2.176, I 18
- d 2.031, I 16
- d 1.911, I 22

Crystal structure
a = 11.6110 Å, b = 11.6110 Å, c = 11.6110 Å
α = 114.79°, β = 114.79°, γ = 114.79°
Atoms (fractional coordinates):
Pr1 0.0000 0.0000 0.0000
Pr2 0.2124 0.4361 0.9759
Pr3 0.4361 0.9759 0.2124
Pr4 0.4759 0.9361 0.7124
Pr5 0.5000 0.5000 0.5000
Pr6 0.7124 0.4759 0.9361
Pr7 0.9361 0.7124 0.4759
Pr8 0.9759 0.2124 0.4361
Ge1 0.1448 0.9695 0.3568
Ge2 0.3568 0.1448 0.9695
Ge3 0.4695 0.6448 0.8568
Ge4 0.6448 0.8568 0.4695
Ge5 0.8568 0.4695 0.6448
Ge6 0.9695 0.3568 0.1448
S1 0.0866 0.6310 0.3539
S2 0.0870 0.7977 0.1144
S3 0.1144 0.0870 0.7977
S4 0.1310 0.5866 0.8539
S5 0.1880 0.1881 0.3736
S6 0.1881 0.3736 0.1880
S7 0.2838 0.8881 0.8153
S8 0.2977 0.5870 0.6144
S9 0.3153 0.3881 0.7838
S10 0.3539 0.0866 0.6310
S11 0.3736 0.1880 0.1881
S12 0.3881 0.7838 0.3153
S13 0.5870 0.6144 0.2977
S14 0.5866 0.8539 0.1310
S15 0.6144 0.2977 0.5870
S16 0.6310 0.3539 0.0866
S17 0.6881 0.6880 0.8736
S18 0.6880 0.8736 0.6881
S19 0.7838 0.3153 0.3881
S20 0.7977 0.1144 0.0870
S21 0.8153 0.2838 0.8881
S22 0.8539 0.1310 0.5866
S23 0.8736 0.6881 0.6880
S24 0.8881 0.8153 0.2838


2.
# Pr6Ge3S14
Calculated XRD peak list, CuKα. Input: a crystal structure in the Materials Project, relaxed with GGA-PBE.
Peak positions follow from Bragg's law for the DFT cell and can differ from measured ones.

Principal peaks in the range 2θ from 10° to 80°, in order of rising 2θ:
- d 4.483, I 27
- d 3.869, I 34
- d 3.552, I 100
- d 3.389, I 23
- d 2.588, I 39
- d 2.538, I 20
- d 2.487, I 38
- d 2.442, I 37
- d 2.287, I 34
- d 2.208, I 26
- d 1.891, I 21
- d 1.855, I 22

Crystal structure
a = 10.3521 Å, b = 10.3521 Å, c = 5.8234 Å
α = 90.00°, β = 90.00°, γ = 120.00°
Atoms (fractional coordinates):
Pr1 0.0250 0.5647 0.0000
Pr2 0.3087 0.1020 0.5052
Pr3 0.4353 0.4603 0.0000
Pr4 0.5397 0.9750 0.0000
Pr5 0.7933 0.6913 0.5052
Pr6 0.8980 0.2067 0.5052
Ge1 0.0000 0.0000 0.9222
Ge2 0.3333 0.6667 0.4188
Ge3 0.6667 0.3333 0.2650
S1 0.0000 0.0000 0.2994
S2 0.0792 0.8528 0.7671
S3 0.1472 0.2264 0.7671
S4 0.1864 0.4403 0.2647
S5 0.2539 0.8136 0.2647
S6 0.3333 0.6667 0.7966
S7 0.4124 0.1703 0.0239
S8 0.5012 0.4225 0.5129
S9 0.5597 0.7461 0.2647
S10 0.5775 0.0786 0.5129
S11 0.7579 0.5876 0.0239
S12 0.7736 0.9208 0.7671
S13 0.8297 0.2421 0.0239
S14 0.9214 0.4988 0.5129


3.
# PrScGe
Calculated XRD peak list, CuKα. Input: a crystal structure in the Materials Project, relaxed with GGA-PBE.
Peak positions follow from Bragg's law for the DFT cell and can differ from measured ones.

Principal peaks in the range 2θ from 10° to 80°, in order of rising 2θ:
- d 3.380, I 61
- d 3.073, I 88
- d 2.871, I 81
- d 2.688, I 29
- d 2.590, I 100
- d 2.444, I 80
- d 2.173, I 77
- d 1.690, I 28
- d 1.665, I 52
- d 1.657, I 32
- d 1.536, I 25
- d 1.317, I 30

Crystal structure
a = 8.6302 Å, b = 8.6302 Å, c = 8.6302 Å
α = 150.84°, β = 150.84°, γ = 41.71°
Atoms (fractional coordinates):
Pr1 0.1764 0.1764 0.0000
Pr2 0.8236 0.8236 0.0000
Sc1 0.0000 0.5000 0.5000
Sc2 0.5000 0.0000 0.5000
Ge1 0.3783 0.3783 0.0000
Ge2 0.6217 0.6217 0.0000


4.
# PrSiGe
Calculated XRD peak list, CuKα. Input: a crystal structure in the Materials Project, relaxed with GGA-PBE.
Peak positions follow from Bragg's law for the DFT cell and can differ from measured ones.

Principal peaks in the range 2θ from 10° to 80°, in order of rising 2θ:
- d 3.864, I 14
- d 3.226, I 37
- d 2.763, I 100
- d 2.496, I 40
- d 2.476, I 12
- d 2.117, I 18
- d 2.069, I 17
- d 1.948, I 17
- d 1.770, I 13
- d 1.593, I 23
- d 1.479, I 11
- d 1.433, I 12

Crystal structure
a = 8.2748 Å, b = 8.2748 Å, c = 8.2748 Å
α = 151.04°, β = 150.36°, γ = 41.91°
Atoms (fractional coordinates):
Pr1 0.3809 0.1309 0.2500
Pr2 0.6191 0.8691 0.7500
Si1 0.0382 0.2882 0.7500
Si2 0.9618 0.7118 0.2500
Ge1 0.2021 0.4521 0.7500
Ge2 0.7979 0.5479 0.2500


5.
# Pr5SiGe2
Calculated XRD peak list, CuKα. Input: a crystal structure in the Materials Project, relaxed with GGA-PBE.
Peak positions follow from Bragg's law for the DFT cell and can differ from measured ones.

Principal peaks in the range 2θ from 10° to 80°, in order of rising 2θ:
- d 3.856, I 19
- d 3.718, I 18
- d 3.094, I 37
- d 2.915, I 42
- d 2.691, I 94
- d 2.676, I 100
- d 2.571, I 44
- d 1.859, I 26
- d 1.782, I 30
- d 1.712, I 16
- d 1.683, I 15
- d 1.675, I 25

Crystal structure
a = 6.7554 Å, b = 8.9098 Å, c = 8.9098 Å
α = 120.09°, β = 90.00°, γ = 90.00°
Atoms (fractional coordinates):
Pr1 0.0000 0.0000 0.0000
Pr2 0.0000 0.2459 0.4919
Pr3 0.0000 0.4919 0.2459
Pr4 0.2521 0.5774 0.9126
Pr5 0.2521 0.9126 0.5774
Pr6 0.5000 0.0003 0.2474
Pr7 0.5000 0.2474 0.0003
Pr8 0.5000 0.4893 0.4893
Pr9 0.7479 0.5774 0.9126
Pr10 0.7479 0.9126 0.5774
Si1 0.5000 0.2459 0.6380
Si2 0.5000 0.6380 0.2459
Ge1 0.0000 0.2453 0.8532
Ge2 0.0000 0.6376 0.6376
Ge3 0.0000 0.8532 0.2453
Ge4 0.5000 0.8539 0.8539


6.
# PrTiGe3
Calculated XRD peak list, CuKα. Input: a crystal structure in the Materials Project, relaxed with GGA-PBE.
Peak positions follow from Bragg's law for the DFT cell and can differ from measured ones.

Principal peaks in the range 2θ from 10° to 80°, in order of rising 2θ:
- d 3.149, I 22
- d 2.967, I 33
- d 2.727, I 12
- d 2.606, I 23
- d 2.478, I 100
- d 2.008, I 30
- d 1.947, I 16
- d 1.738, I 9
- d 1.601, I 26
- d 1.575, I 15
- d 1.391, I 11
- d 1.329, I 9

Crystal structure
a = 6.2981 Å, b = 6.2981 Å, c = 5.9340 Å
α = 90.00°, β = 90.00°, γ = 120.00°
Atoms (fractional coordinates):
Pr1 0.3333 0.6667 0.2500
Pr2 0.6667 0.3333 0.7500
Ti1 0.0000 0.0000 0.0000
Ti2 0.0000 0.0000 0.5000
Ge1 0.1969 0.3938 0.7500
Ge2 0.1969 0.8031 0.7500
Ge3 0.3938 0.1969 0.2500
Ge4 0.6062 0.8031 0.7500
Ge5 0.8031 0.1969 0.2500
Ge6 0.8031 0.6062 0.2500


Question: What is the formula in the first record?
Answer: Pr4Ge3S12